(1)
Structure and calculated X-ray powder pattern of ZrTi2Ga4 (DFT lattice parameters and positions (GGA-PBE); CuKα).
Intensities are scaled so that the largest is 100.

Principal peaks in the range 10° ≤ 2θ ≤ 90°, in order of falling intensity:
- 2θ = 34.6°, I 100, (2 1 1)
- 2θ = 44.5°, I 100, (3 0 1)
- 2θ = 38.7°, I 86, (2 2 0)
- 2θ = 38.2°, I 64, (1 1 2)
- 2θ = 43.0°, I 50, (2 0 2)
- 2θ = 32.8°, I 43, (0 0 2)
- 2θ = 69.7°, I 33, (3 3 2)
- 2θ = 80.6°, I 29, (5 2 1)

Structure:
```
ZrTi2Ga4
1.0
6.5777 0.0000 0.0000
0.0000 6.5777 0.0000
0.0000 0.0000 5.4669
Zr Ti Ga
2 4 8
Cartesian
0.0000 0.0000 0.0000
3.2889 3.2889 2.7335
0.0000 3.2889 1.3667
0.0000 3.2889 4.1002
3.2889 0.0000 1.3667
3.2889 0.0000 4.1002
1.2925 1.2925 2.7335
1.2925 5.2852 2.7335
1.9964 1.9964 0.0000
1.9964 4.5813 0.0000
4.5813 1.9964 0.0000
4.5813 4.5813 0.0000
5.2852 1.2925 2.7335
5.2852 5.2852 2.7335
```

***

(2)
Structure and calculated X-ray powder pattern of Cu3Si (DFT lattice parameters and positions (GGA-PBE); CuKα).
Intensities are scaled so that the largest is 100.

Principal peaks in the range 10° ≤ 2θ ≤ 90°, in order of falling intensity:
- 2θ = 46.0°, I 100, (2 0 1)
- 2θ = 40.0°, I 25, (2 0 0)
- 2θ = 44.4°, I 25, (0 0 2)
- 2θ = 89.3°, I 18, (2 2 2)
- 2θ = 72.6°, I 16, (2 2 0)
- 2θ = 82.9°, I 16, (2 0 3)
- 2θ = 61.3°, I 13, (2 0 2)
- 2θ = 29.5°, I 11, (1 0 1)

Structure:
```
Cu3Si
1.0
5.2080 0.0000 0.0000
-2.6040 4.5103 0.0000
0.0000 0.0000 4.0781
Cu Si
6 2
Cartesian
0.0000 1.5163 1.0195
-1.2908 3.7521 1.0195
1.3132 0.7582 3.0586
1.2908 3.7521 1.0195
3.8948 0.7582 3.0586
2.6040 2.9940 3.0586
0.0000 3.0068 3.0586
2.6040 1.5034 1.0195
```